Simulated X-ray diffraction stick pattern
Compound: Li2PdS
Radiation: Cu Kα
Structure: the PBE geometry in Alexandria
Kinematic intensities with the Lorentz-polarization factor, no thermal factor.

Largest 8 diffraction maxima, most intense first, 10° ≤ 2θ ≤ 90°:
Position (°2θ)  I_rel  index
34.5  100.0  1 1 2
22.0  70.4  0 0 4
47.3  39.6  1 1 6
23.5  34.8  1 0 1
52.2  33.3  2 0 4
28.3  24.2  1 0 3
46.8  17.6  2 0 0
78.8  17.0  3 1 2

```
16
Lattice="3.886 0.000 0.000 0.000 3.886 0.000 0.000 0.000 16.161" Properties=species:S:1:pos:R:3 pbc="T T T"
Li 0.839 0.971 2.020
Li 0.971 2.782 6.060
Li 0.971 3.046 14.141
Li 1.103 0.971 10.101
Li 2.782 2.914 10.101
Li 2.914 0.839 14.141
Li 2.914 1.103 6.060
Li 3.046 2.914 2.020
Pd 0.000 0.000 8.081
Pd 0.000 1.943 12.121
Pd 1.943 0.000 4.040
Pd 1.943 1.943 0.000
S 0.000 0.000 0.000
S 0.000 1.943 4.040
S 1.943 0.000 12.121
S 1.943 1.943 8.081
```



Simulated X-ray diffraction stick pattern
Compound: LiUPd2S4
Radiation: Cu Kα
Structure: the PBE geometry in Alexandria
Kinematic intensities with the Lorentz-polarization factor, no thermal factor.

Largest 8 diffraction maxima, most intense first, 10° ≤ 2θ ≤ 90°:
Position (°2θ)  I_rel  index
32.8  100.0  1 1 2
18.9  84.6  1 0 1
51.8  63.2  3 1 2
33.4  55.9  2 1 1
38.9  46.3  2 2 0
27.3  45.6  2 0 0
42.4  15.6  1 0 3
68.8  14.5  2 2 4

```
16
Lattice="6.544 0.000 0.000 0.000 6.544 0.000 0.000 0.000 6.759" Properties=species:S:1:pos:R:3 pbc="T T T"
Li 0.000 0.000 0.000
Li 3.272 3.272 3.379
U 0.000 0.000 3.379
U 3.272 3.272 0.000
Pd 0.000 3.272 1.690
Pd 0.000 3.272 5.069
Pd 3.272 0.000 1.690
Pd 3.272 0.000 5.069
S 1.331 1.331 1.400
S 1.331 5.213 5.358
S 1.941 1.941 4.780
S 1.941 4.603 1.979
S 4.603 1.941 1.979
S 4.603 4.603 4.780
S 5.213 1.331 5.358
S 5.213 5.213 1.400
```